Record 1
Diffraction record for RbMg6Mo. The PXRD pattern is calculated, not measured: it uses a structure optimized by DFT (GGA-PBE) and Cu Kα (weighted mean of Kα1 and Kα2).

Crystal structure
Unit cell a=6.9341 b=6.9341 c=4.1824 alpha=90.00 beta=90.00 gamma=90.00
Positions (direct):
Rb 0.0000 0.0000 0.0000
Mg 0.0000 0.5000 0.0000
Mg 0.2952 0.2952 0.5000
Mg 0.2952 0.7048 0.5000
Mg 0.5000 0.0000 0.0000
Mg 0.7048 0.2952 0.5000
Mg 0.7048 0.7048 0.5000
Mo 0.5000 0.5000 0.0000

The 8 most intense peaks (2θ = 15–90°), in order of rising 2θ:
| 2theta | d/Å | I_rel |
| --- | --- | --- |
| 18.09 | 4.903 | 44 |
| 25.69 | 3.467 | 21 |
| 28.04 | 3.182 | 24 |
| 33.57 | 2.669 | 100 |
| 36.66 | 2.452 | 36 |
| 46.78 | 1.942 | 18 |
| 57.97 | 1.591 | 18 |
| 64.05 | 1.454 | 21 |



Record 2
Diffraction record for Na2GeS3O7. The PXRD pattern is calculated, not measured: it uses a structure optimized by DFT (GGA-PBE) and Cu Kα (weighted mean of Kα1 and Kα2).

Crystal structure
Unit cell a=6.8265 b=7.3096 c=9.6548 alpha=70.26 beta=84.04 gamma=85.92
Positions (direct):
Na 0.0286 0.4257 0.2890
Na 0.2906 0.6120 0.9387
Na 0.7094 0.3880 0.0613
Na 0.9714 0.5743 0.7110
Ge 0.3992 0.9834 0.3706
Ge 0.6008 0.0166 0.6294
S 0.2449 0.0007 0.6093
S 0.2854 0.0556 0.0741
S 0.4736 0.4159 0.5995
S 0.5264 0.5841 0.4005
S 0.7146 0.9444 0.9259
S 0.7551 0.9993 0.3907
O 0.0165 0.5897 0.4588
O 0.0877 0.3723 0.9238
O 0.1041 0.1669 0.9713
O 0.1620 0.8128 0.7221
O 0.3212 0.2568 0.3267
O 0.4132 0.4247 0.2312
O 0.4597 0.1829 0.0315
O 0.5403 0.8171 0.9685
O 0.5868 0.5753 0.7688
O 0.6788 0.7432 0.6733
O 0.8380 0.1872 0.2779
O 0.8959 0.8331 0.0287
O 0.9123 0.6277 0.0762
O 0.9835 0.4103 0.5412

The 8 most intense peaks (2θ = 15–90°), in order of rising 2θ:
| 2theta | d/Å | I_rel |
| --- | --- | --- |
| 16.98 | 5.221 | 52 |
| 18.01 | 4.925 | 77 |
| 25.92 | 3.438 | 84 |
| 28.05 | 3.181 | 56 |
| 28.69 | 3.112 | 100 |
| 28.88 | 3.091 | 95 |
| 29.58 | 3.020 | 99 |
| 31.12 | 2.874 | 55 |



Record 3
Diffraction record for LaZn2Ag. The PXRD pattern is calculated, not measured: it uses a structure optimized by DFT (GGA-PBE) and Cu Kα (weighted mean of Kα1 and Kα2).

Crystal structure
Unit cell a=6.9779 b=6.9779 c=6.9779 alpha=90.00 beta=90.00 gamma=90.00
Positions (direct):
La 0.0000 0.0000 0.0000
La 0.0000 0.5000 0.5000
La 0.5000 0.0000 0.5000
La 0.5000 0.5000 0.0000
Zn 0.2500 0.2500 0.2500
Zn 0.2500 0.2500 0.7500
Zn 0.2500 0.7500 0.2500
Zn 0.2500 0.7500 0.7500
Zn 0.7500 0.2500 0.2500
Zn 0.7500 0.2500 0.7500
Zn 0.7500 0.7500 0.2500
Zn 0.7500 0.7500 0.7500
Ag 0.0000 0.0000 0.5000
Ag 0.0000 0.5000 0.0000
Ag 0.5000 0.0000 0.0000
Ag 0.5000 0.5000 0.5000

The 8 most intense peaks (2θ = 15–90°), in order of rising 2θ:
| 2theta | d/Å | I_rel |
| --- | --- | --- |
| 25.53 | 3.489 | 9 |
| 36.42 | 2.467 | 100 |
| 45.00 | 2.014 | 3 |
| 52.45 | 1.744 | 17 |
| 59.22 | 1.560 | 4 |
| 65.54 | 1.424 | 34 |
| 77.36 | 1.234 | 10 |
| 88.65 | 1.103 | 15 |



Record 4
Diffraction record for Li2Ca. The PXRD pattern is calculated, not measured: it uses a structure optimized by DFT (GGA-PBE) and Cu Kα (weighted mean of Kα1 and Kα2).

Crystal structure
Unit cell a=6.1735 b=6.1735 c=6.1735 alpha=60.00 beta=60.00 gamma=60.00
Positions (direct):
Li 0.0000 0.0000 0.0000
Li 0.0000 0.0000 0.5000
Li 0.0000 0.5000 0.0000
Li 0.5000 0.0000 0.0000
Ca 0.3750 0.3750 0.3750
Ca 0.6250 0.6250 0.6250

The 8 most intense peaks (2θ = 15–90°), in order of rising 2θ:
| 2theta | d/Å | I_rel |
| --- | --- | --- |
| 17.59 | 5.041 | 80 |
| 28.93 | 3.087 | 100 |
| 34.06 | 2.632 | 86 |
| 45.27 | 2.003 | 18 |
| 51.26 | 1.782 | 35 |
| 54.62 | 1.680 | 27 |
| 59.93 | 1.543 | 17 |
| 82.72 | 1.167 | 15 |



Record 5
Diffraction record for Li2Pr2Si3. The PXRD pattern is calculated, not measured: it uses a structure optimized by DFT (GGA-PBE) and Cu Kα (weighted mean of Kα1 and Kα2).

Crystal structure
Unit cell a=9.5909 b=9.5909 c=6.8606 alpha=90.00 beta=90.00 gamma=153.19
Positions (direct):
Li 0.1895 0.8105 0.5596
Li 0.1895 0.8105 0.9404
Li 0.8105 0.1895 0.0596
Li 0.8105 0.1895 0.4404
Pr 0.3421 0.6579 0.7500
Pr 0.4474 0.5526 0.2500
Pr 0.5526 0.4474 0.7500
Pr 0.6579 0.3421 0.2500
Si 0.0579 0.9421 0.0747
Si 0.0579 0.9421 0.4253
Si 0.2805 0.7195 0.2500
Si 0.7195 0.2805 0.7500
Si 0.9421 0.0579 0.5747
Si 0.9421 0.0579 0.9253

The 8 most intense peaks (2θ = 15–90°), in order of rising 2θ:
| 2theta | d/Å | I_rel |
| --- | --- | --- |
| 20.53 | 4.326 | 42 |
| 23.06 | 3.858 | 47 |
| 25.97 | 3.430 | 36 |
| 31.59 | 2.832 | 20 |
| 33.34 | 2.688 | 64 |
| 33.97 | 2.639 | 100 |
| 40.57 | 2.224 | 21 |
| 48.81 | 1.866 | 20 |



Record 6
Diffraction record for LuBrO. The PXRD pattern is calculated, not measured: it uses a structure optimized by DFT (GGA-PBE) and Cu Kα (weighted mean of Kα1 and Kα2).

Crystal structure
Unit cell a=3.7501 b=3.7501 c=8.8110 alpha=90.00 beta=90.00 gamma=90.00
Positions (direct):
Lu 0.2500 0.2500 0.1251
Lu 0.7500 0.7500 0.8749
Br 0.2500 0.2500 0.6868
Br 0.7500 0.7500 0.3132
O 0.2500 0.7500 0.0000
O 0.7500 0.2500 0.0000

The 8 most intense peaks (2θ = 15–90°), in order of rising 2θ:
| 2theta | d/Å | I_rel |
| --- | --- | --- |
| 31.32 | 2.856 | 100 |
| 33.80 | 2.652 | 43 |
| 38.95 | 2.312 | 24 |
| 48.55 | 1.875 | 20 |
| 54.13 | 1.694 | 14 |
| 58.93 | 1.567 | 33 |
| 63.37 | 1.468 | 11 |
| 63.92 | 1.456 | 11 |



Record 7
Diffraction record for AsF5. The PXRD pattern is calculated, not measured: it uses a structure optimized by DFT (GGA-PBE) and Cu Kα (weighted mean of Kα1 and Kα2).

Crystal structure
Unit cell a=5.9458 b=5.9458 c=6.6130 alpha=90.00 beta=90.00 gamma=120.00
Positions (direct):
As 0.3333 0.6667 0.2500
As 0.6667 0.3333 0.7500
F 0.1667 0.3334 0.2500
F 0.1667 0.8333 0.2500
F 0.3334 0.1667 0.7500
F 0.3333 0.6667 0.5146
F 0.3333 0.6667 0.9854
F 0.6667 0.3333 0.0146
F 0.6667 0.3333 0.4854
F 0.6666 0.8333 0.2500
F 0.8333 0.1667 0.7500
F 0.8333 0.6666 0.7500

The 8 most intense peaks (2θ = 15–90°), in order of rising 2θ:
| 2theta | d/Å | I_rel |
| --- | --- | --- |
| 17.22 | 5.149 | 32 |
| 21.88 | 4.063 | 100 |
| 26.97 | 3.306 | 14 |
| 30.06 | 2.973 | 32 |
| 34.85 | 2.575 | 17 |
| 44.72 | 2.026 | 19 |
| 48.78 | 1.867 | 22 |
| 63.80 | 1.459 | 12 |